# LaNd6Sm3
Theoretical X-ray diffraction stick pattern, a wavelength of 1.5418 Å. Input: a structure optimized by DFT (PBE).
Neutral-atom scattering factors, no anomalous dispersion.

Principal peaks in the range 15 to 90 degrees two-theta, most intense first:
two_theta, I/Imax, (hkl)
30.63, 100.0, 3 0 0
28.47, 64.9, 1 1 3
53.13, 22.2, 4 1 3
42.31, 21.9, 2 2 3
54.46, 19.4, 3 3 0
31.55, 16.5, 1 0 4
40.61, 14.5, 2 1 4
55.75, 12.7, 3 0 6
63.78, 11.9, 6 0 0
48.23, 11.3, 1 3 4
88.68, 9.8, 6 3 0
73.51, 9.7, 3 3 6

Unit cell a=10.1097 b=10.1097 c=11.9908 alpha=90.00 beta=90.00 gamma=120.00
Space group R32 (No. 155, hexagonal axes)
Symmetry-distinct sites (fractional):
La  0.0000  0.0000  0.0000 (multiplicity 3)
Nd  0.0000  0.3269  0.0000 (multiplicity 9)
Nd  0.0000  0.6758  0.5000 (multiplicity 9)
Sm  0.0000  0.0000  0.2521 (multiplicity 6)
Sm  0.0000  0.0000  0.5000 (multiplicity 3)